[1]
# Eu2Ti12Cu9O36
Simulated X-ray powder pattern, Cu Ka. Input: a structure optimized by DFT (PBE).

Most intense lines, 10° ≤ 2θ ≤ 80°, most intense first:
- d = 2.629 Å, intensity 100.0
- d = 1.517 Å, intensity 36.1
- d = 1.859 Å, intensity 27.0
- d = 1.520 Å, intensity 12.3
- d = 2.351 Å, intensity 8.9
- d = 3.717 Å, intensity 7.0
- d = 2.145 Å, intensity 7.0
- d = 1.315 Å, intensity 6.2
- d = 1.313 Å, intensity 6.0
- d = 5.260 Å, intensity 5.9

Cell and atoms:
a = 10.5055 Å, b = 10.5055 Å, c = 6.4500 Å
α = 90.00°, β = 90.00°, γ = 120.00°
Fractional coordinates of all 59 atoms:
1 Eu 0.3333 0.6667 0.3285
2 Eu 0.6667 0.3333 0.6715
3 Ti 0.0000 0.0000 0.5000
4 Ti 0.0000 0.5000 0.5000
5 Ti 0.1584 0.3195 0.1632
6 Ti 0.1611 0.8416 0.1632
7 Ti 0.3195 0.1611 0.8368
8 Ti 0.3333 0.6667 0.8408
9 Ti 0.5000 0.0000 0.5000
10 Ti 0.5000 0.5000 0.5000
11 Ti 0.6667 0.3333 0.1592
12 Ti 0.6805 0.8389 0.1632
13 Ti 0.8389 0.1584 0.8368
14 Ti 0.8416 0.6805 0.8368
15 Cu 0.0000 0.5000 0.0000
16 Cu 0.1672 0.8324 0.6637
17 Cu 0.1676 0.3348 0.6637
18 Cu 0.3348 0.1672 0.3363
19 Cu 0.5000 0.0000 0.0000
20 Cu 0.5000 0.5000 0.0000
21 Cu 0.6652 0.8328 0.6637
22 Cu 0.8324 0.6652 0.3363
23 Cu 0.8328 0.1676 0.3363
24 O 0.0157 0.1640 0.3290
25 O 0.0448 0.2686 0.9109
26 O 0.0728 0.4480 0.2490
27 O 0.1152 0.7090 0.4177
28 O 0.1483 0.9843 0.3290
29 O 0.1640 0.1483 0.6710
30 O 0.1741 0.5227 0.6513
31 O 0.1904 0.6832 0.0132
32 O 0.2238 0.9552 0.9109
33 O 0.2686 0.2238 0.0891
34 O 0.2910 0.4062 0.4177
35 O 0.3168 0.5073 0.0132
36 O 0.3486 0.8259 0.6513
37 O 0.3752 0.9272 0.2490
38 O 0.4062 0.1152 0.5823
39 O 0.4480 0.3752 0.7510
40 O 0.4773 0.6514 0.6513
41 O 0.4927 0.8096 0.0132
42 O 0.5073 0.1904 0.9868
43 O 0.5227 0.3486 0.3487
44 O 0.5520 0.6248 0.2490
45 O 0.5938 0.8848 0.4177
46 O 0.6248 0.0728 0.7510
47 O 0.6514 0.1741 0.3487
48 O 0.6832 0.4927 0.9868
49 O 0.7090 0.5938 0.5823
50 O 0.7314 0.7762 0.9109
51 O 0.7762 0.0448 0.0891
52 O 0.8096 0.3168 0.9868
53 O 0.8259 0.4773 0.3487
54 O 0.8360 0.8517 0.3290
55 O 0.8517 0.0157 0.6710
56 O 0.8848 0.2910 0.5823
57 O 0.9272 0.5520 0.7510
58 O 0.9552 0.7314 0.0891
59 O 0.9843 0.8360 0.6710

---

[2]
# KCu2H2C2BrN2O
Simulated X-ray powder pattern, Cu Ka. Input: a structure optimized by DFT (PBE).

Most intense lines, 10° ≤ 2θ ≤ 80°, most intense first:
- d = 3.154 Å, intensity 100.0
- d = 7.030 Å, intensity 92.4
- d = 2.533 Å, intensity 54.4
- d = 4.671 Å, intensity 41.8
- d = 2.990 Å, intensity 38.2
- d = 2.010 Å, intensity 36.2
- d = 2.614 Å, intensity 25.5
- d = 2.668 Å, intensity 14.5
- d = 2.081 Å, intensity 13.1
- d = 1.883 Å, intensity 12.1

Cell and atoms:
a = 7.8171 Å, b = 10.6758 Å, c = 9.3420 Å
α = 90.00°, β = 90.00°, γ = 90.00°
Fractional coordinates of all 44 atoms:
1 K 0.0610 0.2500 0.0797
2 K 0.4390 0.7500 0.5797
3 K 0.5610 0.2500 0.4203
4 K 0.9390 0.7500 0.9203
5 Cu 0.2457 0.0646 0.7241
6 Cu 0.2457 0.4354 0.7241
7 Cu 0.2543 0.5646 0.2241
8 Cu 0.2543 0.9354 0.2241
9 Cu 0.7457 0.0646 0.7759
10 Cu 0.7457 0.4354 0.7759
11 Cu 0.7543 0.5646 0.2759
12 Cu 0.7543 0.9354 0.2759
13 H 0.0366 0.6785 0.5821
14 H 0.0366 0.8215 0.5821
15 H 0.4634 0.1785 0.0821
16 H 0.4634 0.3215 0.0821
17 H 0.5366 0.6785 0.9179
18 H 0.5366 0.8215 0.9179
19 H 0.9634 0.1785 0.4179
20 H 0.9634 0.3215 0.4179
21 C 0.2417 0.9997 0.9070
22 C 0.2417 0.5003 0.9070
23 C 0.2583 0.0003 0.4070
24 C 0.2583 0.4997 0.4070
25 C 0.7417 0.9997 0.5930
26 C 0.7417 0.5003 0.5930
27 C 0.7583 0.0003 0.0930
28 C 0.7583 0.4997 0.0930
29 Br 0.9998 0.2500 0.7336
30 Br 0.0002 0.7500 0.2664
31 Br 0.4998 0.2500 0.7664
32 Br 0.5002 0.7500 0.2336
33 N 0.2410 0.5345 0.0271
34 N 0.2410 0.9655 0.0271
35 N 0.2590 0.0345 0.5271
36 N 0.2590 0.4655 0.5271
37 N 0.7410 0.5345 0.4729
38 N 0.7410 0.9655 0.4729
39 N 0.7590 0.0345 0.9729
40 N 0.7590 0.4655 0.9729
41 O 0.0701 0.7500 0.6409
42 O 0.4299 0.2500 0.1409
43 O 0.5701 0.7500 0.8591
44 O 0.9299 0.2500 0.3591

---

[3]
# Rb3InP2
Simulated X-ray powder pattern, Cu Ka. Input: a structure optimized by DFT (PBE).

Most intense lines, 10° ≤ 2θ ≤ 80°, most intense first:
- d = 2.997 Å, intensity 100.0
- d = 3.995 Å, intensity 82.0
- d = 3.021 Å, intensity 78.5
- d = 2.888 Å, intensity 74.7
- d = 3.170 Å, intensity 56.2
- d = 8.420 Å, intensity 54.5
- d = 7.495 Å, intensity 48.1
- d = 3.176 Å, intensity 47.7
- d = 2.984 Å, intensity 43.5
- d = 3.085 Å, intensity 43.2

Cell and atoms:
a = 9.5124 Å, b = 12.6385 Å, c = 16.0861 Å
α = 97.11°, β = 106.93°, γ = 106.68°
Fractional coordinates of all 48 atoms:
1 Rb 0.0176 0.0986 0.1952
2 Rb 0.0196 0.2651 0.8204
3 Rb 0.0770 0.3937 0.0892
4 Rb 0.1491 0.5858 0.4736
5 Rb 0.1683 0.0763 0.6562
6 Rb 0.2158 0.5843 0.7553
7 Rb 0.3109 0.8802 0.4786
8 Rb 0.3349 0.7478 0.1188
9 Rb 0.3900 0.8772 0.9146
10 Rb 0.3939 0.3969 0.3542
11 Rb 0.4175 0.0688 0.2539
12 Rb 0.4630 0.4213 0.8052
13 Rb 0.5370 0.5787 0.1948
14 Rb 0.5825 0.9312 0.7461
15 Rb 0.6061 0.6031 0.6458
16 Rb 0.6100 0.1228 0.0854
17 Rb 0.6651 0.2522 0.8812
18 Rb 0.6891 0.1198 0.5214
19 Rb 0.7842 0.4157 0.2447
20 Rb 0.8317 0.9237 0.3438
21 Rb 0.8509 0.4142 0.5264
22 Rb 0.9230 0.6063 0.9108
23 Rb 0.9804 0.7349 0.1796
24 Rb 0.9824 0.9014 0.8048
25 In 0.0771 0.2319 0.4424
26 In 0.1721 0.1092 0.0108
27 In 0.4210 0.3562 0.0084
28 In 0.4383 0.2815 0.5790
29 In 0.5617 0.7185 0.4210
30 In 0.5790 0.6438 0.9916
31 In 0.8279 0.8908 0.9892
32 In 0.9229 0.7681 0.5576
33 P 0.1277 0.9019 0.0394
34 P 0.1866 0.8013 0.6608
35 P 0.2303 0.3749 0.5923
36 P 0.2763 0.1295 0.4311
37 P 0.2852 0.5128 0.9612
38 P 0.2939 0.6611 0.3126
39 P 0.3111 0.1564 0.8909
40 P 0.3695 0.2793 0.1474
41 P 0.6305 0.7207 0.8526
42 P 0.6889 0.8436 0.1091
43 P 0.7061 0.3389 0.6874
44 P 0.7148 0.4872 0.0388
45 P 0.7237 0.8705 0.5689
46 P 0.7697 0.6251 0.4077
47 P 0.8134 0.1987 0.3392
48 P 0.8723 0.0981 0.9606

---

[4]
# HfGeRu
Simulated X-ray powder pattern, Cu Ka. Input: a structure optimized by DFT (PBE).

Most intense lines, 10° ≤ 2θ ≤ 80°, most intense first:
- d = 2.511 Å, intensity 100.0
- d = 2.307 Å, intensity 89.9
- d = 2.207 Å, intensity 50.3
- d = 1.488 Å, intensity 27.3
- d = 1.432 Å, intensity 25.2
- d = 1.882 Å, intensity 25.1
- d = 1.262 Å, intensity 21.9
- d = 1.946 Å, intensity 17.9
- d = 1.619 Å, intensity 15.5
- d = 2.919 Å, intensity 14.3

Cell and atoms:
a = 6.7417 Å, b = 6.7417 Å, c = 3.7648 Å
α = 90.00°, β = 90.00°, γ = 120.00°
Fractional coordinates of all 9 atoms:
1 Hf 0.0000 0.4164 0.0000
2 Hf 0.4164 0.0000 0.0000
3 Hf 0.5836 0.5836 0.0000
4 Ge 0.0000 0.0000 0.0000
5 Ge 0.3333 0.6667 0.5000
6 Ge 0.6667 0.3333 0.5000
7 Ru 0.0000 0.7538 0.5000
8 Ru 0.2462 0.2462 0.5000
9 Ru 0.7538 0.0000 0.5000